CsCoCu2I6: calculated powder X-ray diffraction pattern (Cu Kα (λ = 1.5418 Å)), based on DFT lattice parameters and positions (PBE).
Peak positions follow from Bragg's law for the DFT cell and can differ from measured ones.

Crystal structure
Cell lengths 10.764, 10.764, 7.848 Å; angles 107.57, 107.57, 85.54 degrees
Fractional coordinates of all 20 atoms:
1 Cs 0.119 0.881 0.750
2 Cs 0.881 0.119 0.250
3 Co 0.260 0.740 0.250
4 Co 0.740 0.260 0.750
5 Cu 0.221 0.352 0.779
6 Cu 0.352 0.221 0.279
7 Cu 0.648 0.779 0.721
8 Cu 0.779 0.648 0.221
9 I 0.015 0.718 0.207
10 I 0.187 0.353 0.438
11 I 0.282 0.985 0.293
12 I 0.304 0.594 0.957
13 I 0.353 0.187 0.938
14 I 0.406 0.696 0.543
15 I 0.594 0.304 0.457
16 I 0.647 0.813 0.062
17 I 0.696 0.406 0.043
18 I 0.718 0.015 0.707
19 I 0.813 0.647 0.562
20 I 0.985 0.282 0.793

Peak list (10 most intense, 10° ≤ 2θ ≤ 90°, sorted by position)
| two_theta | d (Å) | I_rel |
| --- | --- | --- |
| 17.30 | 5.126 | 70 |
| 21.49 | 4.135 | 34 |
| 23.83 | 3.735 | 87 |
| 24.36 | 3.655 | 50 |
| 25.73 | 3.462 | 100 |
| 26.98 | 3.305 | 49 |
| 29.51 | 3.027 | 40 |
| 32.15 | 2.784 | 31 |
| 40.74 | 2.215 | 21 |
| 46.46 | 1.954 | 29 |